Diffraction record for ScCoGe2. The powder X-ray diffraction pattern is theoretical, not measured: it uses a structure optimized by DFT (PBE) and Cu Kα, 1.54184 Å.

Cell and atoms:
abc: 9.170 10.117 7.962
angles: 90.00 90.00 90.00
Space group Pbam (No. 55)
Asymmetric unit:
Sc1 0.164 0.178 0.000 [4 per cell]
Sc2 0.174 0.452 0.239 [8 per cell]
Co1 0.000 0.000 0.247 [4 per cell]
Co2 0.089 0.745 0.253 [8 per cell]
Ge1 0.041 0.623 0.000 [4 per cell]
Ge2 0.041 0.623 0.500 [4 per cell]
Ge3 0.127 0.896 0.000 [4 per cell]
Ge4 0.127 0.904 0.500 [4 per cell]
Ge5 0.159 0.180 0.343 [8 per cell]

Top 12 peaks for 15 to 90 degrees two-theta, by intensity:
(2 3 2), 2θ = 40.2°, I 100
(3 1 2), 2θ = 38.2°, I 72
(0 4 2), 2θ = 42.3°, I 68
(3 3 0), 2θ = 39.8°, I 57
(1 4 0), 2θ = 36.9°, I 40
(4 1 0), 2θ = 40.3°, I 39
(2 1 4), 2θ = 50.8°, I 33
(0 0 4), 2θ = 45.6°, I 30
(2 4 2), 2θ = 47.0°, I 22
(3 1 6), 2θ = 79.3°, I 21
(2 7 0), 2θ = 68.0°, I 20
(3 5 4), 2θ = 73.6°, I 14